[1]
TmCu4Ag: simulated powder diffractogram (λ = 1.5418 Å (Cu Kα)), based on a cell relaxed with PBE.
Intensities are scaled so that the largest is 100.

Main lines, most intense first (2θ = 10–80°):
- (3 1 1), 42.3 deg, rel. 100.0
- (2 2 0), 35.8 deg, rel. 54.6
- (5 1 1), 68.8 deg, rel. 29.7
- (4 4 0), 75.9 deg, rel. 22.1
- (2 2 2), 44.3 deg, rel. 20.1
- (4 2 2), 64.4 deg, rel. 19.3
- (1 1 1), 21.7 deg, rel. 7.9
- (2 0 0), 25.1 deg, rel. 2.8
- (3 3 1), 56.6 deg, rel. 2.2
- (4 2 0), 58.2 deg, rel. 1.1

Crystal structure
Unit cell a=7.090 b=7.090 c=7.090 alpha=90.00 beta=90.00 gamma=90.00
Space group F-43m (No. 216)
Symmetry-distinct sites (fractional):
Tm1 0.000 0.000 0.000 x4
Cu1 0.124 0.124 0.624 x16
Ag1 0.250 0.250 0.250 x4


[2]
UCu4Ag: simulated powder diffractogram (λ = 1.5418 Å (Cu Kα)), based on a cell relaxed with PBE.
Intensities are scaled so that the largest is 100.

Main lines, most intense first (2θ = 10–80°):
- (3 1 1), 41.9 deg, rel. 100.0
- (2 2 0), 35.5 deg, rel. 61.1
- (5 1 1), 68.1 deg, rel. 31.0
- (4 2 2), 63.7 deg, rel. 22.5
- (4 4 0), 75.1 deg, rel. 21.6
- (1 1 1), 21.5 deg, rel. 19.2
- (2 2 2), 43.8 deg, rel. 17.4
- (2 0 0), 24.9 deg, rel. 8.7
- (3 3 1), 56.0 deg, rel. 5.6
- (5 3 1), 79.2 deg, rel. 4.6
- (4 2 0), 57.6 deg, rel. 3.7

Crystal structure
Unit cell a=7.156 b=7.156 c=7.156 alpha=90.00 beta=90.00 gamma=90.00
Space group F-43m (No. 216)
Symmetry-distinct sites (fractional):
U1 0.000 0.000 0.000 x4
Cu1 0.124 0.124 0.376 x16
Ag1 0.250 0.250 0.750 x4


[3]
ZrCu4Ag: simulated powder diffractogram (λ = 1.5418 Å (Cu Kα)), based on a cell relaxed with PBE.
Intensities are scaled so that the largest is 100.

Main lines, most intense first (2θ = 10–80°):
- (3 1 1), 42.8 deg, rel. 100.0
- (2 2 0), 36.3 deg, rel. 42.2
- (3 3 3), 69.8 deg, rel. 28.6
- (2 2 2), 44.8 deg, rel. 27.7
- (4 4 0), 77.0 deg, rel. 22.9
- (4 2 2), 65.3 deg, rel. 14.2
- (4 0 0), 52.2 deg, rel. 0.8
- (1 1 1), 22.0 deg, rel. 0.6

Crystal structure
Unit cell a=7.003 b=7.003 c=7.003 alpha=90.00 beta=90.00 gamma=90.00
Space group F-43m (No. 216)
Symmetry-distinct sites (fractional):
Zr1 0.000 0.000 0.000 x4
Cu1 0.124 0.124 0.624 x16
Ag1 0.250 0.250 0.250 x4


[4]
DyAg2: simulated powder diffractogram (λ = 1.5418 Å (Cu Kα)), based on a cell relaxed with PBE.
Intensities are scaled so that the largest is 100.

Main lines, most intense first (2θ = 10–80°):
- (1 0 3), 37.8 deg, rel. 100.0
- (1 1 0), 33.7 deg, rel. 68.3
- (2 1 3), 63.0 deg, rel. 42.8
- (2 0 0), 48.5 deg, rel. 24.1
- (1 1 6), 70.7 deg, rel. 15.1
- (2 2 0), 70.9 deg, rel. 7.5
- (0 0 6), 60.0 deg, rel. 6.2
- (1 0 1), 25.6 deg, rel. 4.6
- (0 0 2), 19.2 deg, rel. 1.5
- (2 1 1), 55.6 deg, rel. 1.3
- (1 1 2), 39.1 deg, rel. 1.1
- (1 1 4), 52.5 deg, rel. 1.1

Crystal structure
Unit cell a=3.757 b=3.757 c=9.246 alpha=90.00 beta=90.00 gamma=90.00
Space group I4/mmm (No. 139)
Symmetry-distinct sites (fractional):
Dy1 0.000 0.000 0.000 x2
Ag1 0.000 0.000 0.331 x4


Q: Which formula does entry 1 have?
A: TmCu4Ag


Copy entry 4 word for word.
DyAg2: simulated powder diffractogram (λ = 1.5418 Å (Cu Kα)), based on a cell relaxed with PBE.
Intensities are scaled so that the largest is 100.

Main lines, most intense first (2θ = 10–80°):
- (1 0 3), 37.8 deg, rel. 100.0
- (1 1 0), 33.7 deg, rel. 68.3
- (2 1 3), 63.0 deg, rel. 42.8
- (2 0 0), 48.5 deg, rel. 24.1
- (1 1 6), 70.7 deg, rel. 15.1
- (2 2 0), 70.9 deg, rel. 7.5
- (0 0 6), 60.0 deg, rel. 6.2
- (1 0 1), 25.6 deg, rel. 4.6
- (0 0 2), 19.2 deg, rel. 1.5
- (2 1 1), 55.6 deg, rel. 1.3
- (1 1 2), 39.1 deg, rel. 1.1
- (1 1 4), 52.5 deg, rel. 1.1

Crystal structure
Unit cell a=3.757 b=3.757 c=9.246 alpha=90.00 beta=90.00 gamma=90.00
Space group I4/mmm (No. 139)
Symmetry-distinct sites (fractional):
Dy1 0.000 0.000 0.000 x2
Ag1 0.000 0.000 0.331 x4